# TbMg4Sc2
Theoretical PXRD pattern, Cu Kα. Input: a structure optimized by DFT (PBE).

Atomic structure:
Lattice parameters (Å, degrees): 9.9799 10.7660 3.3489 90.00 90.00 90.00
Space group Cmmm (No. 65)
Symmetry-distinct sites (fractional):
Tb1 0.0000 0.0000 0.0000 (multiplicity 2)
Mg1 0.0000 0.2740 0.5000 (multiplicity 4)
Mg2 0.2500 0.2500 0.0000 (multiplicity 4)
Sc1 0.2031 0.5000 0.5000 (multiplicity 4)

The 10 most intense peaks (10° ≤ 2θ ≤ 80°), sorted by position:
hkl  two_theta  d (Å)  intensity
1 1 0  12.09  7.319  92
0 2 0  16.47  5.383  34
1 3 0  26.39  3.377  25
3 1 0  28.07  3.178  43
1 1 1  29.33  3.045  59
0 4 0  33.29  2.692  34
4 0 0  36.00  2.495  20
2 2 1  36.36  2.471  100
3 3 0  36.84  2.440  27
1 3 1  37.83  2.378  21

---

# VHRh2
Theoretical PXRD pattern, Cu Kα. Input: a structure optimized by DFT (PBE).

Atomic structure:
Lattice parameters (Å, degrees): 2.7929 14.1621 4.4105 90.00 90.00 90.00
Space group Cmc2_1 (No. 36)
Symmetry-distinct sites (fractional):
V1 0.0000 0.1066 0.0000 (multiplicity 4)
H1 0.0000 0.3393 0.7688 (multiplicity 4)
Rh1 0.0000 0.2265 0.5190 (multiplicity 4)
Rh2 0.0000 0.4453 0.0212 (multiplicity 4)

The 10 most intense peaks (10° ≤ 2θ ≤ 80°), sorted by position:
hkl  two_theta  d (Å)  intensity
0 2 1  23.77  3.744  11
1 3 0  37.41  2.404  20
0 6 0  38.13  2.360  14
0 0 2  40.92  2.205  36
1 3 1  42.85  2.111  100
0 6 1  43.49  2.081  41
1 3 2  56.64  1.625  12
0 6 2  57.16  1.611  9
1 9 0  68.43  1.371  15
1 3 3  75.86  1.254  17